Diffraction record for Tl3AsF6. The powder diffractogram is calculated, not measured: it uses a DFT-relaxed cell (GGA-PBE, the Materials Project) and Cu Ka.

Structure:
Cell lengths 7.1031, 7.1385, 7.2425 Å; angles 98.92, 109.66, 99.67 degrees
Space group P-1 (No. 2)
Inequivalent atoms, fractional coordinates:
Tl (0.0000, 0.0000, 0.0000) [1 per cell]
Tl (0.0000, 0.5000, 0.5000) [1 per cell]
Tl (0.5000, 0.0000, 0.5000) [1 per cell]
As (0.0000, 0.0000, 0.5000) [1 per cell]
F (0.0157, 0.7841, 0.2790) [2 per cell]
F (0.1928, 0.2014, 0.4168) [2 per cell]
F (0.2424, 0.9214, 0.7024) [2 per cell]

Peak list (10 most intense, 15° ≤ 2θ ≤ 90°, in order of rising 2θ)
hkl, 2θ/deg, I_rel
-1 1 1, 19.81, 100.0
1 1 -1, 20.05, 92.1
1 -1 1, 22.54, 71.8
0 2 0, 26.01, 85.6
0 0 2, 26.85, 78.2
2 0 0, 27.45, 91.6
1 1 1, 29.01, 59.5
2 0 -2, 30.50, 58.4
0 2 -2, 33.03, 57.0
2 -2 0, 33.21, 55.5

---

Diffraction record for Na2LaSiO5. The powder diffractogram is calculated, not measured: it uses a DFT-relaxed cell (GGA-PBE, the Materials Project) and Cu Ka.

Structure:
Cell lengths 9.5927, 7.5495, 6.7501 Å; angles 90.00, 90.00, 90.00 degrees
Space group Pnma (No. 62)
Inequivalent atoms, fractional coordinates:
Na (0.1660, 0.0330, 0.1267) [8 per cell]
La (0.0447, 0.2500, 0.6161) [4 per cell]
Si (0.1003, 0.7500, 0.8168) [4 per cell]
O (0.0059, 0.7500, 0.0220) [4 per cell]
O (0.0614, 0.5746, 0.6800) [8 per cell]
O (0.2131, 0.7500, 0.2903) [4 per cell]
O (0.2332, 0.2500, 0.3709) [4 per cell]

Peak list (10 most intense, 15° ≤ 2θ ≤ 90°, in order of rising 2θ)
hkl, 2θ/deg, I_rel
1 0 1, 16.06, 58.7
2 0 0, 18.50, 55.7
0 2 0, 23.57, 60.4
2 1 1, 25.66, 31.2
1 2 1, 28.65, 40.7
2 2 0, 30.13, 37.3
1 1 2, 30.47, 100.0
4 0 1, 39.89, 38.1
1 3 2, 45.95, 52.0
2 1 3, 46.16, 27.6

---

Diffraction record for LaVSb3. The powder diffractogram is calculated, not measured: it uses a DFT-relaxed cell (GGA-PBE, the Materials Project) and Cu Ka.

Structure:
Cell lengths 13.4256, 6.3156, 6.1519 Å; angles 90.00, 90.00, 90.00 degrees
Space group Pbcm (No. 57)
Inequivalent atoms, fractional coordinates:
La (0.1915, 0.0021, 0.2500) [4 per cell]
V (0.4078, 0.7500, 0.0000) [4 per cell]
Sb (0.0009, 0.7500, 0.0000) [4 per cell]
Sb (0.2852, 0.9996, 0.7500) [4 per cell]
Sb (0.4368, 0.1020, 0.2500) [4 per cell]

Peak list (10 most intense, 15° ≤ 2θ ≤ 90°, in order of rising 2θ)
hkl, 2θ/deg, I_rel
3 1 1, 28.42, 22.3
0 0 2, 29.03, 19.9
1 0 2, 29.80, 18.0
2 2 0, 31.30, 60.7
2 0 2, 32.01, 38.0
4 1 1, 33.56, 100.0
3 0 2, 35.41, 19.9
0 2 2, 40.96, 57.7
4 1 3, 54.41, 24.8
2 4 2, 68.21, 21.6